For Sm2Co2B2CN, a PBE-relaxed structure gives the simulated powder diffractogram in this record (copper Kα).

Crystal structure
Lattice parameters (Å, degrees): 3.613 3.613 7.531 90.00 90.00 90.00
Sites, in units of the cell vectors:
1 Sm 0.000 0.000 0.000
2 Sm 0.500 0.500 0.343
3 Co 0.000 0.500 0.665
4 Co 0.500 0.000 0.665
5 B 0.000 0.000 0.519
6 B 0.500 0.500 0.806
7 C 0.500 0.500 0.009
8 N 0.000 0.000 0.324

Peak list (10 most intense, 10° ≤ 2θ ≤ 80°, by angle)
2θ = 27.38°, d = 3.258 Å, intensity 100
2θ = 34.40°, d = 2.607 Å, intensity 63
2θ = 35.12°, d = 2.555 Å, intensity 23
2θ = 35.77°, d = 2.510 Å, intensity 45
2θ = 37.16°, d = 2.420 Å, intensity 63
2θ = 42.77°, d = 2.114 Å, intensity 52
2θ = 50.52°, d = 1.807 Å, intensity 37
2θ = 58.41°, d = 1.580 Å, intensity 26
2θ = 62.55°, d = 1.485 Å, intensity 23
2θ = 63.43°, d = 1.466 Å, intensity 32

For Tm2Co2B2CN, a PBE-relaxed structure gives the simulated powder diffractogram in this record (copper Kα).

Crystal structure
Lattice parameters (Å, degrees): 3.470 3.470 7.480 90.00 90.00 90.00
Sites, in units of the cell vectors:
1 Tm 0.000 0.000 0.000
2 Tm 0.500 0.500 0.330
3 Co 0.000 0.500 0.659
4 Co 0.500 0.000 0.659
5 B 0.000 0.000 0.506
6 B 0.500 0.500 0.811
7 C 0.500 0.500 0.014
8 N 0.000 0.000 0.309

Peak list (10 most intense, 10° ≤ 2θ ≤ 80°, by angle)
2θ = 28.35°, d = 3.148 Å, intensity 100
2θ = 35.28°, d = 2.544 Å, intensity 72
2θ = 36.02°, d = 2.493 Å, intensity 45
2θ = 36.62°, d = 2.454 Å, intensity 25
2θ = 38.62°, d = 2.332 Å, intensity 62
2θ = 44.14°, d = 2.052 Å, intensity 41
2θ = 52.76°, d = 1.735 Å, intensity 34
2θ = 60.97°, d = 1.520 Å, intensity 25
2θ = 65.07°, d = 1.433 Å, intensity 25
2θ = 65.54°, d = 1.424 Å, intensity 30

For Y3Co4B4C3, a PBE-relaxed structure gives the simulated powder diffractogram in this record (copper Kα).

Crystal structure
Lattice parameters (Å, degrees): 13.054 13.054 13.054 164.39 164.39 22.14
Sites, in units of the cell vectors:
1 Y 0.000 0.000 0.000
2 Y 0.300 0.300 0.000
3 Y 0.700 0.700 0.000
4 Co 0.101 0.601 0.500
5 Co 0.399 0.899 0.500
6 Co 0.601 0.101 0.500
7 Co 0.899 0.399 0.500
8 B 0.145 0.145 0.000
9 B 0.441 0.441 0.000
10 B 0.559 0.559 0.000
11 B 0.855 0.855 0.000
12 C 0.204 0.204 0.000
13 C 0.500 0.500 0.000
14 C 0.796 0.796 0.000

Peak list (10 most intense, 10° ≤ 2θ ≤ 80°, by angle)
2θ = 27.24°, d = 3.274 Å, intensity 67
2θ = 35.02°, d = 2.562 Å, intensity 70
2θ = 35.24°, d = 2.547 Å, intensity 57
2θ = 38.57°, d = 2.334 Å, intensity 100
2θ = 41.78°, d = 2.162 Å, intensity 77
2θ = 51.56°, d = 1.773 Å, intensity 53
2θ = 59.28°, d = 1.559 Å, intensity 17
2θ = 62.87°, d = 1.478 Å, intensity 27
2θ = 63.85°, d = 1.458 Å, intensity 44
2θ = 64.00°, d = 1.455 Å, intensity 19

For SmDyCu2B2C2, a PBE-relaxed structure gives the simulated powder diffractogram in this record (copper Kα).

Crystal structure
Lattice parameters (Å, degrees): 3.638 3.638 7.850 90.00 90.00 90.00
Sites, in units of the cell vectors:
1 Sm 0.000 0.000 0.000
2 Dy 0.500 0.500 0.671
3 Cu 0.000 0.500 0.335
4 Cu 0.500 0.000 0.335
5 B 0.000 0.000 0.500
6 B 0.500 0.500 0.165
7 C 0.000 0.000 0.685
8 C 0.500 0.500 0.979

Peak list (10 most intense, 10° ≤ 2θ ≤ 80°, by angle)
2θ = 27.02°, d = 3.300 Å, intensity 100
2θ = 33.59°, d = 2.668 Å, intensity 75
2θ = 34.27°, d = 2.617 Å, intensity 51
2θ = 36.77°, d = 2.444 Å, intensity 76
2θ = 42.00°, d = 2.151 Å, intensity 51
2θ = 50.16°, d = 1.819 Å, intensity 39
2θ = 57.89°, d = 1.593 Å, intensity 26
2θ = 59.22°, d = 1.560 Å, intensity 22
2θ = 61.73°, d = 1.503 Å, intensity 26
2θ = 62.15°, d = 1.493 Å, intensity 35